[1]
Computed powder diffractogram
Compound: K4Rb2AuO
Radiation: λ = 1.5418 Å (Cu Kα)
Structure: a PBE-relaxed structure
Peak positions follow from Bragg's law for the DFT cell and can differ from measured ones.

Cell and atoms:
a = 7.766 Å, b = 8.089 Å, c = 8.094 Å
α = 60.35°, β = 63.26°, γ = 87.18°
Atoms (fractional coordinates):
1 K 0.000 0.000 0.000
2 K 0.004 0.587 0.916
3 K 0.351 0.804 0.222
4 K 0.864 0.481 0.479
5 Rb 0.346 0.381 0.140
6 Rb 0.500 0.938 0.655
7 Au 0.370 0.404 0.642
8 O 0.167 0.697 0.077

Top 10 peaks for 15° ≤ 2θ ≤ 90°, low angle first:
d (Å)  I_rel
4.350  29
4.034  44
3.514  60
3.430  67
3.378  100
3.343  67
3.320  70
3.065  30
2.730  38
2.386  28

***

[2]
Computed powder diffractogram
Compound: GaNi5Ir
Radiation: λ = 1.5418 Å (Cu Kα)
Structure: a PBE-relaxed structure
Peak positions follow from Bragg's law for the DFT cell and can differ from measured ones.

Cell and atoms:
a = 4.344 Å, b = 4.344 Å, c = 5.008 Å
α = 90.00°, β = 90.00°, γ = 109.26°
Atoms (fractional coordinates):
1 Ga 0.000 0.000 0.000
2 Ni 0.000 0.500 0.254
3 Ni 0.000 0.500 0.746
4 Ni 0.500 0.000 0.254
5 Ni 0.500 0.000 0.746
6 Ni 0.500 0.500 0.000
7 Ir 0.500 0.500 0.500

Top 10 peaks for 15° ≤ 2θ ≤ 90°, low angle first:
d (Å)  I_rel
4.101  61
3.173  76
2.137  32
2.050  100
2.045  99
1.966  20
1.773  94
1.551  10
1.316  11
1.253  38

***

[3]
Computed powder diffractogram
Compound: K3La
Radiation: λ = 1.5418 Å (Cu Kα)
Structure: a PBE-relaxed structure
Peak positions follow from Bragg's law for the DFT cell and can differ from measured ones.

Cell and atoms:
a = 4.080 Å, b = 4.080 Å, c = 15.347 Å
α = 90.00°, β = 90.00°, γ = 120.00°
Atoms (fractional coordinates):
1 K 0.000 0.000 0.000
2 K 0.333 0.667 0.267
3 K 0.333 0.667 0.733
4 La 0.000 0.000 0.500

Top 10 peaks for 15° ≤ 2θ ≤ 90°, low angle first:
d (Å)  I_rel
3.837  32
3.534  29
3.444  18
3.210  100
2.908  18
2.599  25
2.072  25
2.040  17
1.801  21
1.722  15

***

[4]
Computed powder diffractogram
Compound: UTaO5
Radiation: λ = 1.5418 Å (Cu Kα)
Structure: a PBE-relaxed structure
Peak positions follow from Bragg's law for the DFT cell and can differ from measured ones.

Cell and atoms:
a = 5.510 Å, b = 5.510 Å, c = 7.644 Å
α = 110.28°, β = 110.28°, γ = 72.68°
Atoms (fractional coordinates):
1 U 0.037 0.963 0.750
2 U 0.963 0.037 0.250
3 Ta 0.500 0.500 0.000
4 Ta 0.500 0.500 0.500
5 O 0.190 0.790 0.035
6 O 0.210 0.810 0.465
7 O 0.225 0.274 0.371
8 O 0.274 0.225 0.871
9 O 0.423 0.577 0.750
10 O 0.577 0.423 0.250
11 O 0.726 0.775 0.129
12 O 0.775 0.726 0.629
13 O 0.790 0.190 0.535
14 O 0.810 0.210 0.965

Top 10 peaks for 15° ≤ 2θ ≤ 90°, low angle first:
d (Å)  I_rel
4.007  86
3.299  100
3.265  46
2.547  71
2.531  33
2.003  18
1.892  20
1.725  16
1.712  54
1.525  16

***

[5]
Computed powder diffractogram
Compound: Cs2SmF5
Radiation: λ = 1.5418 Å (Cu Kα)
Structure: a PBE-relaxed structure
Peak positions follow from Bragg's law for the DFT cell and can differ from measured ones.

Cell and atoms:
a = 12.171 Å, b = 7.785 Å, c = 7.305 Å
α = 90.00°, β = 90.00°, γ = 90.00°
Atoms (fractional coordinates):
1 Cs 0.171 0.002 0.039
2 Cs 0.171 0.498 0.039
3 Cs 0.329 0.502 0.539
4 Cs 0.329 0.998 0.539
5 Cs 0.671 0.002 0.461
6 Cs 0.671 0.498 0.461
7 Cs 0.829 0.502 0.961
8 Cs 0.829 0.998 0.961
9 Sm 0.004 0.250 0.553
10 Sm 0.496 0.750 0.053
11 Sm 0.504 0.250 0.947
12 Sm 0.996 0.750 0.447
13 F 0.019 0.250 0.863
14 F 0.065 0.534 0.641
15 F 0.065 0.966 0.641
16 F 0.159 0.250 0.385
17 F 0.176 0.750 0.358
18 F 0.324 0.250 0.858
19 F 0.341 0.750 0.885
20 F 0.435 0.034 0.141
21 F 0.435 0.466 0.141
22 F 0.481 0.750 0.363
23 F 0.519 0.250 0.637
24 F 0.565 0.534 0.859
25 F 0.565 0.966 0.859
26 F 0.659 0.250 0.115
27 F 0.676 0.750 0.142
28 F 0.824 0.250 0.642
29 F 0.841 0.750 0.615
30 F 0.935 0.034 0.359
31 F 0.935 0.466 0.359
32 F 0.981 0.750 0.137

Top 10 peaks for 15° ≤ 2θ ≤ 90°, low angle first:
d (Å)  I_rel
3.653  46
3.547  100
3.306  74
3.279  44
2.440  36
2.397  18
2.087  19
1.986  28
1.946  17
1.706  28

***

[6]
Computed powder diffractogram
Compound: PmDy4Te5
Radiation: λ = 1.5418 Å (Cu Kα)
Structure: a PBE-relaxed structure
Peak positions follow from Bragg's law for the DFT cell and can differ from measured ones.

Cell and atoms:
a = 7.592 Å, b = 7.592 Å, c = 10.711 Å
α = 118.21°, β = 118.21°, γ = 33.49°
Atoms (fractional coordinates):
1 Pm 0.000 0.000 0.000
2 Dy 0.204 0.204 0.800
3 Dy 0.402 0.402 0.605
4 Dy 0.598 0.598 0.395
5 Dy 0.796 0.796 0.200
6 Te 0.000 0.000 0.500
7 Te 0.203 0.203 0.307
8 Te 0.396 0.396 0.103
9 Te 0.604 0.604 0.897
10 Te 0.797 0.797 0.693

Top 10 peaks for 15° ≤ 2θ ≤ 90°, low angle first:
d (Å)  I_rel
3.094  100
2.189  51
2.185  25
1.790  7
1.785  20
1.547  13
1.384  23
1.382  11
1.265  6
1.263  17